No. 1
For ThCuN2, a crystal structure in the Materials Project, relaxed with GGA-PBE gives the computed powder diffractogram in this record (λ = 1.5418 Å (Cu Kα)).

Top 8 peaks for 10 to 90 degrees two-theta, by angle:
2θ = 22.38°, I 42
2θ = 31.86°, I 53
2θ = 35.07°, I 100
2θ = 42.00°, I 23
2θ = 45.68°, I 28
2θ = 58.86°, I 45
2θ = 64.87°, I 15
2θ = 74.10°, I 13

```
ThCuN2
1.0
3.972 0.000 0.000
0.000 3.972 0.000
0.000 0.000 3.346
Th Cu N
1 1 2
Cartesian
0.000 0.000 0.000
1.986 1.986 1.673
0.000 1.986 1.673
1.986 0.000 1.673
```

No. 2
For InBr3, a crystal structure in the Materials Project, relaxed with GGA-PBE gives the computed powder diffractogram in this record (λ = 1.5418 Å (Cu Kα)).

Top 8 peaks for 10 to 90 degrees two-theta, by angle:
2θ = 13.06°, I 66
2θ = 15.37°, I 26
2θ = 27.19°, I 26
2θ = 31.16°, I 100
2θ = 31.39°, I 49
2θ = 44.26°, I 36
2θ = 45.37°, I 33
2θ = 56.14°, I 20

```
InBr3
1.0
6.919 0.000 0.000
0.000 12.019 0.000
-2.250 0.000 6.780
In Br
4 12
Cartesian
0.000 1.995 0.000
0.000 10.024 0.000
3.460 4.015 0.000
3.460 8.004 0.000
0.981 0.000 1.586
-0.022 2.146 5.213
-0.022 9.873 5.213
1.231 3.864 1.568
1.231 8.155 1.568
0.229 6.010 5.194
4.440 6.010 1.586
3.438 3.864 5.213
3.438 8.155 5.213
4.691 2.146 1.568
4.691 9.873 1.568
3.689 0.000 5.194
```

No. 3
For Rb2Li3GaO4, a crystal structure in the Materials Project, relaxed with GGA-PBE gives the computed powder diffractogram in this record (λ = 1.5418 Å (Cu Kα)).

Top 8 peaks for 10 to 90 degrees two-theta, by angle:
2θ = 25.17°, I 26
2θ = 26.48°, I 68
2θ = 30.71°, I 33
2θ = 34.42°, I 100
2θ = 39.30°, I 31
2θ = 39.53°, I 30
2θ = 52.03°, I 28
2θ = 61.65°, I 25

```
Rb2Li3GaO4
1.0
-2.494 4.955 5.823
2.494 -4.955 5.823
2.494 4.955 -5.823
Rb Li Ga O
4 6 2 8
Cartesian
1.183 1.269 0.000
1.183 -1.269 5.823
1.311 6.224 0.000
1.311 3.686 5.823
2.494 2.576 -2.912
0.000 0.000 2.912
0.000 2.379 2.912
2.494 2.576 2.912
0.000 0.000 8.735
0.000 2.379 8.735
2.494 0.000 2.912
0.000 4.955 2.912
1.330 -1.173 1.988
1.164 3.782 -1.988
3.658 1.173 1.988
1.330 1.173 3.835
1.164 3.782 1.988
-1.164 3.782 3.835
1.330 1.173 7.812
1.164 6.128 3.835
```

No. 4
For SrH10Pb2Br6O5, a crystal structure in the Materials Project, relaxed with GGA-PBE gives the computed powder diffractogram in this record (λ = 1.5418 Å (Cu Kα)).

Top 8 peaks for 10 to 90 degrees two-theta, by angle:
2θ = 11.91°, I 96
2θ = 18.92°, I 61
2θ = 20.16°, I 79
2θ = 29.76°, I 91
2θ = 30.05°, I 100
2θ = 36.16°, I 61
2θ = 36.43°, I 96
2θ = 39.23°, I 57

```
SrH10Pb2Br6O5
1.0
7.768 -6.253 0.000
7.768 6.253 0.000
-3.933 0.000 8.579
Sr H Pb Br O
2 20 4 12 10
Cartesian
4.818 5.996 6.434
6.785 -5.996 2.145
-0.205 1.052 5.299
1.909 1.486 1.921
1.702 1.518 3.481
5.118 4.188 3.718
4.060 2.880 6.233
8.451 4.188 0.571
1.762 -1.052 1.009
-0.058 -1.486 6.210
5.575 2.880 6.635
-0.264 -1.518 7.770
11.867 1.518 0.809
6.027 -2.880 1.944
11.661 1.486 2.368
9.840 1.052 7.570
3.151 -4.188 8.007
7.542 -2.880 2.345
6.485 -4.188 4.861
9.900 -1.518 5.098
9.694 -1.486 6.658
11.807 -1.052 3.280
5.445 1.157 0.281
3.478 -1.157 4.570
8.124 1.157 4.008
6.157 -1.157 8.298
5.341 4.203 0.263
2.109 1.557 5.845
5.217 1.629 3.329
8.228 4.203 4.027
4.076 -1.557 1.556
8.352 1.629 0.960
3.251 -1.629 7.619
7.527 1.557 7.023
3.374 -4.203 4.552
6.385 -1.629 5.250
9.493 -1.557 2.734
6.262 -4.203 8.316
4.929 5.158 3.712
1.456 1.023 2.668
8.640 5.158 0.577
4.818 3.474 6.434
-0.511 -1.023 6.957
12.113 1.023 1.622
6.785 -3.474 2.145
2.962 -5.158 8.001
10.146 -1.023 5.911
6.674 -5.158 4.867
```

No. 5
For Ba2ErMgSbO6, a crystal structure in the Materials Project, relaxed with GGA-PBE gives the computed powder diffractogram in this record (λ = 1.5418 Å (Cu Kα)).

Top 8 peaks for 10 to 90 degrees two-theta, by angle:
2θ = 27.25°, I 100
2θ = 28.52°, I 37
2θ = 29.19°, I 35
2θ = 30.72°, I 19
2θ = 41.27°, I 41
2θ = 42.89°, I 14
2θ = 49.73°, I 20
2θ = 50.58°, I 19

```
Ba2ErMgSbO6
1.0
-3.059 3.130 4.932
3.059 -3.130 4.932
3.059 3.130 -4.932
Ba Er Mg Sb O
2 1 1 1 6
Cartesian
0.000 0.000 1.901
0.000 0.000 7.963
0.000 3.130 0.000
0.000 0.000 4.932
3.059 0.000 0.000
3.059 0.000 2.548
1.620 1.688 0.000
1.439 -1.442 4.932
1.620 4.572 0.000
1.439 1.442 4.932
0.000 3.130 2.384
```

No. 6
For Mg2Ga3WS8, a crystal structure in the Materials Project, relaxed with GGA-PBE gives the computed powder diffractogram in this record (λ = 1.5418 Å (Cu Kα)).

Top 8 peaks for 10 to 90 degrees two-theta, by angle:
2θ = 14.77°, I 100
2θ = 28.15°, I 27
2θ = 28.41°, I 54
2θ = 34.39°, I 76
2θ = 45.18°, I 24
2θ = 45.35°, I 16
2θ = 49.10°, I 35
2θ = 49.74°, I 33

```
Mg2Ga3WS8
1.0
3.666 2.117 6.098
-3.666 2.117 6.098
0.000 -4.233 6.098
Mg Ga W S
2 3 1 8
Cartesian
0.000 0.000 2.306
0.000 0.000 15.987
-1.833 -1.058 6.098
-1.833 1.058 12.195
0.000 2.117 6.098
0.000 0.000 9.146
0.000 0.000 4.761
0.000 -1.907 7.572
-1.652 0.954 7.572
-1.652 -0.954 10.721
1.652 0.954 7.572
1.652 -0.954 10.721
0.000 1.907 10.721
0.000 0.000 13.532
```

No. 7
For FeSeBr7, a crystal structure in the Materials Project, relaxed with GGA-PBE gives the computed powder diffractogram in this record (λ = 1.5418 Å (Cu Kα)).

Top 8 peaks for 10 to 90 degrees two-theta, by angle:
2θ = 16.11°, I 63
2θ = 17.99°, I 60
2θ = 23.80°, I 93
2θ = 27.12°, I 76
2θ = 28.18°, I 100
2θ = 29.21°, I 99
2θ = 33.94°, I 51
2θ = 37.38°, I 59

```
FeSeBr7
1.0
6.862 0.000 0.000
0.000 6.754 0.000
-2.968 0.000 14.433
Fe Se Br
2 2 14
Cartesian
0.000 0.010 0.000
-1.484 6.744 7.217
2.368 2.803 12.075
3.852 3.951 4.858
-1.328 2.331 7.316
0.157 4.423 0.100
-2.071 0.832 12.400
-0.587 5.922 5.183
1.121 0.964 1.842
-0.363 5.790 9.058
1.953 2.643 5.438
0.469 4.111 12.655
1.347 1.289 10.536
2.831 5.465 3.320
1.652 0.753 14.419
3.136 6.000 7.203
5.017 2.530 3.360
3.533 4.224 10.576
```

No. 8
For CaUSe2O8, a crystal structure in the Materials Project, relaxed with GGA-PBE gives the computed powder diffractogram in this record (λ = 1.5418 Å (Cu Kα)).

Top 8 peaks for 10 to 90 degrees two-theta, by angle:
2θ = 14.62°, I 31
2θ = 17.61°, I 79
2θ = 18.72°, I 38
2θ = 21.67°, I 65
2θ = 25.19°, I 29
2θ = 25.62°, I 86
2θ = 29.49°, I 100
2θ = 47.64°, I 32

```
CaUSe2O8
1.0
5.674 0.000 0.000
-2.390 6.315 0.000
-0.710 -3.166 10.750
Ca U Se O
2 2 4 16
Cartesian
0.092 0.166 4.682
2.483 2.983 6.068
-0.469 2.030 8.946
3.044 1.119 1.804
-0.004 -1.578 9.407
-0.595 3.323 3.792
3.170 -0.174 6.958
2.578 4.727 1.343
-1.891 1.237 9.749
-1.367 1.227 7.000
-1.897 3.805 8.033
-1.494 4.252 4.907
0.610 -0.010 9.024
1.631 0.330 2.689
1.243 -2.261 10.432
0.612 2.537 4.694
1.962 0.612 6.056
1.331 5.410 0.318
0.944 2.819 8.061
1.964 3.159 1.726
4.068 -1.102 5.843
4.471 -0.656 2.717
3.942 1.922 3.750
4.465 1.912 1.002
```